The following is a theoretical powder X-ray diffraction pattern of Tb2InNi2. It was derived from a GGA-PBE-relaxed structure, using Cu Ka.
Kinematic intensities with the Lorentz-polarization factor, no thermal factor.

Lattice parameters (Å, degrees): 3.982 14.211 3.622 90.00 90.00 90.00
Space group Cmmm (No. 65)
Asymmetric unit:
Tb  0.000  0.138  0.000 (multiplicity 4)
In  0.000  0.500  0.500 (multiplicity 2)
Ni  0.000  0.300  0.500 (multiplicity 4)

Peak list (6 most intense, 10 to 90 degrees two-theta, by angle)
| (hkl) | 2θ (°) | d [Å] | I/Imax |
| --- | --- | --- | --- |
| 1 3 0 | 29.30 | 3.048 | 45 |
| 1 1 1 | 34.05 | 2.633 | 100 |
| 0 4 1 | 35.39 | 2.536 | 71 |
| 1 3 1 | 38.60 | 2.332 | 37 |
| 1 5 0 | 38.93 | 2.313 | 35 |
| 2 4 1 | 58.98 | 1.566 | 32 |

=====

The following is a theoretical powder X-ray diffraction pattern of MgSi2. It was derived from a GGA-PBE-relaxed structure, using Cu Ka.
Kinematic intensities with the Lorentz-polarization factor, no thermal factor.

Lattice parameters (Å, degrees): 6.316 6.498 11.109 89.18 89.91 88.95
Space group P1 (No. 1)
Asymmetric unit:
Mg  0.000  0.000  0.000 (multiplicity 1)
Mg  0.009  0.434  0.655 (multiplicity 1)
Mg  0.172  0.075  0.485 (multiplicity 1)
Mg  0.292  0.714  0.195 (multiplicity 1)
Mg  0.510  0.551  0.643 (multiplicity 1)
Mg  0.526  0.908  0.983 (multiplicity 1)
Mg  0.695  0.204  0.463 (multiplicity 1)
Mg  0.823  0.593  0.172 (multiplicity 1)
Si  0.008  0.002  0.252 (multiplicity 1)
Si  0.143  0.301  0.145 (multiplicity 1)
Si  0.203  0.636  0.947 (multiplicity 1)
Si  0.209  0.803  0.750 (multiplicity 1)
Si  0.305  0.151  0.740 (multiplicity 1)
Si  0.327  0.294  0.943 (multiplicity 1)
Si  0.369  0.490  0.413 (multiplicity 1)
Si  0.492  0.342  0.223 (multiplicity 1)
Si  0.507  0.837  0.416 (multiplicity 1)
Si  0.630  0.997  0.226 (multiplicity 1)
Si  0.682  0.167  0.722 (multiplicity 1)
Si  0.707  0.289  0.925 (multiplicity 1)
Si  0.831  0.629  0.905 (multiplicity 1)
Si  0.836  0.828  0.716 (multiplicity 1)
Si  0.854  0.781  0.500 (multiplicity 1)
Si  0.992  0.481  0.403 (multiplicity 1)

Peak list (6 most intense, 10 to 90 degrees two-theta, by angle)
| (hkl) | 2θ (°) | d [Å] | I/Imax |
| --- | --- | --- | --- |
| 0 0 4 | 32.24 | 2.777 | 100 |
| 2 1 -1 | 32.37 | 2.766 | 68 |
| 0 1 4 | 34.98 | 2.565 | 75 |
| 0 1 -4 | 35.33 | 2.541 | 31 |
| 2 2 0 | 39.47 | 2.283 | 32 |
| 0 3 -1 | 42.65 | 2.120 | 41 |

=====

The following is a theoretical powder X-ray diffraction pattern of NdRh2. It was derived from a GGA-PBE-relaxed structure, using Cu Ka.
Kinematic intensities with the Lorentz-polarization factor, no thermal factor.

Lattice parameters (Å, degrees): 7.676 7.676 7.676 90.00 90.00 90.00
Space group Fd-3m (No. 227, origin choice 2)
Asymmetric unit:
Nd  0.125  0.125  0.125 (multiplicity 8)
Rh  0.000  0.000  0.500 (multiplicity 16)

Peak list (6 most intense, 10 to 90 degrees two-theta, by angle)
| (hkl) | 2θ (°) | d [Å] | I/Imax |
| --- | --- | --- | --- |
| 2 2 0 | 33.01 | 2.714 | 38 |
| 3 1 1 | 38.92 | 2.314 | 100 |
| 2 2 2 | 40.72 | 2.216 | 30 |
| 4 2 2 | 58.95 | 1.567 | 14 |
| 5 1 1 | 62.92 | 1.477 | 32 |
| 4 4 0 | 69.25 | 1.357 | 26 |

=====

The following is a theoretical powder X-ray diffraction pattern of CoCl2. It was derived from a GGA-PBE-relaxed structure, using Cu Ka.
Kinematic intensities with the Lorentz-polarization factor, no thermal factor.

Lattice parameters (Å, degrees): 6.021 3.719 5.534 90.00 93.80 90.00
Space group C2/m (No. 12)
Asymmetric unit:
Co  0.000  0.000  0.000 (multiplicity 2)
Cl  0.176  0.500  0.231 (multiplicity 4)

Peak list (6 most intense, 10 to 90 degrees two-theta, by angle)
| (hkl) | 2θ (°) | d [Å] | I/Imax |
| --- | --- | --- | --- |
| 0 0 1 | 16.05 | 5.522 | 100 |
| 2 0 -1 | 32.99 | 2.715 | 42 |
| 1 1 1 | 33.13 | 2.704 | 96 |
| 1 1 2 | 44.30 | 2.045 | 31 |
| 3 1 0 | 51.86 | 1.763 | 36 |
| 1 1 -3 | 57.00 | 1.616 | 21 |

=====

The following is a theoretical powder X-ray diffraction pattern of KRb2SmCl6. It was derived from a GGA-PBE-relaxed structure, using Cu Ka.
Kinematic intensities with the Lorentz-polarization factor, no thermal factor.

Lattice parameters (Å, degrees): 11.393 11.393 11.393 90.00 90.00 90.00
Space group Fm-3m (No. 225)
Asymmetric unit:
K  0.000  0.000  0.000 (multiplicity 4)
Rb  0.250  0.250  0.250 (multiplicity 8)
Sm  0.000  0.000  0.500 (multiplicity 4)
Cl  0.000  0.000  0.264 (multiplicity 24)

Peak list (6 most intense, 10 to 90 degrees two-theta, by angle)
| (hkl) | 2θ (°) | d [Å] | I/Imax |
| --- | --- | --- | --- |
| 1 1 1 | 13.46 | 6.578 | 38 |
| 2 2 0 | 22.07 | 4.028 | 100 |
| 4 0 0 | 31.41 | 2.848 | 81 |
| 4 2 2 | 38.72 | 2.326 | 46 |
| 4 4 0 | 45.01 | 2.014 | 55 |
| 6 4 2 | 60.84 | 1.522 | 26 |

=====

The following is a theoretical powder X-ray diffraction pattern of MgTe2MoW3Se4S2. It was derived from a GGA-PBE-relaxed structure, using Cu Ka.
Kinematic intensities with the Lorentz-polarization factor, no thermal factor.

Lattice parameters (Å, degrees): 3.333 3.333 38.174 90.00 89.98 60.00
Space group P1 (No. 1)
Asymmetric unit:
Mg  0.000  0.000  0.000 (multiplicity 1)
Te  0.038  0.955  0.278 (multiplicity 1)
Te  0.039  0.955  0.178 (multiplicity 1)
Mo  0.705  0.621  0.228 (multiplicity 1)
W  0.038  0.955  0.416 (multiplicity 1)
W  0.038  0.955  0.792 (multiplicity 1)
W  0.705  0.621  0.604 (multiplicity 1)
Se  0.705  0.621  0.372 (multiplicity 1)
Se  0.705  0.621  0.460 (multiplicity 1)
Se  0.705  0.621  0.748 (multiplicity 1)
Se  0.705  0.621  0.836 (multiplicity 1)
S  0.038  0.955  0.644 (multiplicity 1)
S  0.039  0.954  0.564 (multiplicity 1)

Peak list (6 most intense, 10 to 90 degrees two-theta, by angle)
| (hkl) | 2θ (°) | d [Å] | I/Imax |
| --- | --- | --- | --- |
| 0 0 5 | 11.59 | 7.635 | 100 |
| 0 0 6 | 13.92 | 6.362 | 21 |
| 1 0 0 | 31.00 | 2.885 | 35 |
| 1 0 -8 | 36.37 | 2.470 | 66 |
| 0 1 13 | 43.99 | 2.059 | 38 |
| 2 1 0 | 55.11 | 1.667 | 23 |

=====

The following is a theoretical powder X-ray diffraction pattern of Zn3Cu10Te6O36. It was derived from a GGA-PBE-relaxed structure, using Cu Ka.
Kinematic intensities with the Lorentz-polarization factor, no thermal factor.

Lattice parameters (Å, degrees): 8.463 8.503 10.473 83.72 82.61 61.19
Space group P1 (No. 1)
Asymmetric unit:
Zn  0.000  0.000  0.000 (multiplicity 1)
Zn  0.031  0.421  0.537 (multiplicity 1)
Zn  0.738  0.713  0.036 (multiplicity 1)
Cu  0.030  0.061  0.330 (multiplicity 1)
Cu  0.200  0.213  0.815 (multiplicity 1)
Cu  0.202  0.518  0.023 (multiplicity 1)
Cu  0.365  0.375  0.306 (multiplicity 1)
Cu  0.369  0.721  0.820 (multiplicity 1)
Cu  0.514  0.572  0.112 (multiplicity 1)
Cu  0.521  0.886  0.315 (multiplicity 1)
Cu  0.684  0.046  0.800 (multiplicity 1)
Cu  0.833  0.886  0.520 (multiplicity 1)
Cu  0.880  0.205  0.611 (multiplicity 1)
Te  0.012  0.722  0.269 (multiplicity 1)
Te  0.040  0.695  0.765 (multiplicity 1)
Te  0.360  0.055  0.068 (multiplicity 1)
Te  0.369  0.042  0.566 (multiplicity 1)
Te  0.690  0.406  0.364 (multiplicity 1)
Te  0.708  0.384  0.860 (multiplicity 1)
O  0.065  0.827  0.410 (multiplicity 1)
O  0.115  0.149  0.511 (multiplicity 1)
O  0.116  0.489  0.367 (multiplicity 1)
O  0.117  0.472  0.873 (multiplicity 1)
O  0.132  0.773  0.908 (multiplicity 1)
O  0.138  0.134  0.983 (multiplicity 1)
O  0.264  0.595  0.179 (multiplicity 1)
O  0.267  0.275  0.644 (multiplicity 1)
O  0.267  0.656  0.682 (multiplicity 1)
O  0.271  0.983  0.237 (multiplicity 1)
O  0.290  0.289  0.124 (multiplicity 1)
O  0.296  0.965  0.739 (multiplicity 1)
O  0.432  0.125  0.389 (multiplicity 1)
O  0.443  0.120  0.892 (multiplicity 1)
O  0.446  0.826  0.479 (multiplicity 1)
O  0.452  0.506  0.946 (multiplicity 1)
O  0.455  0.805  0.009 (multiplicity 1)
O  0.459  0.442  0.445 (multiplicity 1)
O  0.590  0.338  0.222 (multiplicity 1)
O  0.592  0.948  0.144 (multiplicity 1)
O  0.605  0.634  0.258 (multiplicity 1)
O  0.605  0.977  0.621 (multiplicity 1)
O  0.612  0.609  0.757 (multiplicity 1)
O  0.647  0.275  0.723 (multiplicity 1)
O  0.758  0.156  0.948 (multiplicity 1)
O  0.766  0.467  0.004 (multiplicity 1)
O  0.773  0.460  0.508 (multiplicity 1)
O  0.780  0.808  0.373 (multiplicity 1)
O  0.803  0.805  0.868 (multiplicity 1)
O  0.817  0.148  0.448 (multiplicity 1)
O  0.903  0.951  0.679 (multiplicity 1)
O  0.921  0.298  0.262 (multiplicity 1)
O  0.945  0.286  0.757 (multiplicity 1)
O  0.949  0.637  0.631 (multiplicity 1)
O  0.956  0.635  0.128 (multiplicity 1)
O  0.967  0.947  0.182 (multiplicity 1)

Peak list (6 most intense, 10 to 90 degrees two-theta, by angle)
| (hkl) | 2θ (°) | d [Å] | I/Imax |
| --- | --- | --- | --- |
| 1 2 0 | 21.03 | 4.224 | 82 |
| 2 1 0 | 21.18 | 4.195 | 100 |
| 1 1 -2 | 22.44 | 3.961 | 67 |
| 2 -1 2 | 35.55 | 2.525 | 55 |
| -1 2 2 | 36.06 | 2.490 | 59 |
| 2 5 2 | 55.58 | 1.653 | 56 |

=====

The following is a theoretical powder X-ray diffraction pattern of UB2C. It was derived from a GGA-PBE-relaxed structure, using Cu Ka.
Kinematic intensities with the Lorentz-polarization factor, no thermal factor.

Lattice parameters (Å, degrees): 6.011 3.506 4.102 90.00 90.00 90.00
Space group Pmma (No. 51)
Asymmetric unit:
U  0.250  0.000  0.198 (multiplicity 2)
B  0.099  0.500  0.659 (multiplicity 4)
C  0.000  0.500  0.000 (multiplicity 2)

Peak list (6 most intense, 10 to 90 degrees two-theta, by angle)
| (hkl) | 2θ (°) | d [Å] | I/Imax |
| --- | --- | --- | --- |
| 0 1 0 | 25.41 | 3.506 | 49 |
| 1 0 1 | 26.30 | 3.388 | 100 |
| 2 0 0 | 29.72 | 3.006 | 38 |
| 1 1 1 | 36.89 | 2.436 | 99 |
| 2 1 0 | 39.49 | 2.282 | 49 |
| 3 1 1 | 57.55 | 1.602 | 24 |

=====

The following is a theoretical powder X-ray diffraction pattern of CrN2. It was derived from a GGA-PBE-relaxed structure, using Cu Ka.
Kinematic intensities with the Lorentz-polarization factor, no thermal factor.

Lattice parameters (Å, degrees): 7.527 8.775 6.971 90.00 116.62 90.00
Space group C2 (No. 5)
Asymmetric unit:
Cr  0.100  0.000  0.365 (multiplicity 4)
Cr  0.213  0.679  0.223 (multiplicity 4)
N  0.000  0.623  0.000 (multiplicity 2)
N  0.000  0.891  0.500 (multiplicity 2)
N  0.075  0.126  0.809 (multiplicity 4)
N  0.191  0.874  0.235 (multiplicity 4)
N  0.205  0.610  0.452 (multiplicity 4)

Peak list (6 most intense, 10 to 90 degrees two-theta, by angle)
| (hkl) | 2θ (°) | d [Å] | I/Imax |
| --- | --- | --- | --- |
| 1 1 0 | 16.60 | 5.340 | 68 |
| 1 1 -1 | 17.62 | 5.035 | 100 |
| 0 2 0 | 20.24 | 4.387 | 29 |
| 1 1 1 | 25.54 | 3.488 | 50 |
| 2 2 -2 | 35.67 | 2.517 | 26 |
| 1 3 1 | 38.86 | 2.317 | 36 |

=====

The following is a theoretical powder X-ray diffraction pattern of CdNCl3. It was derived from a GGA-PBE-relaxed structure, using Cu Ka.
Kinematic intensities with the Lorentz-polarization factor, no thermal factor.

Lattice parameters (Å, degrees): 11.014 10.217 7.402 90.00 90.00 90.00
Space group Cmcm (No. 63)
Asymmetric unit:
Cd  0.000  0.000  0.000 (multiplicity 4)
N  0.000  0.482  0.250 (multiplicity 4)
Cl  0.000  0.324  0.250 (multiplicity 4)
Cl  0.158  0.021  0.750 (multiplicity 8)

Peak list (6 most intense, 10 to 90 degrees two-theta, by angle)
| (hkl) | 2θ (°) | d [Å] | I/Imax |
| --- | --- | --- | --- |
| 1 1 0 | 11.81 | 7.490 | 100 |
| 2 0 0 | 16.10 | 5.507 | 32 |
| 0 2 0 | 17.36 | 5.109 | 46 |
| 1 3 0 | 27.41 | 3.254 | 28 |
| 2 2 2 | 34.06 | 2.633 | 24 |
| 3 1 2 | 35.55 | 2.526 | 42 |

=====

The following is a theoretical powder X-ray diffraction pattern of Eu3Ag2. It was derived from a GGA-PBE-relaxed structure, using Cu Ka.
Kinematic intensities with the Lorentz-polarization factor, no thermal factor.

Lattice parameters (Å, degrees): 8.540 8.540 4.525 90.00 90.00 90.00
Space group P4/mbm (No. 127)
Asymmetric unit:
Eu  0.000  0.000  0.000 (multiplicity 2)
Eu  0.169  0.331  0.500 (multiplicity 4)
Ag  0.123  0.623  0.000 (multiplicity 4)

Peak list (6 most intense, 10 to 90 degrees two-theta, by angle)
| (hkl) | 2θ (°) | d [Å] | I/Imax |
| --- | --- | --- | --- |
| 2 0 1 | 28.75 | 3.106 | 41 |
| 2 1 1 | 30.63 | 2.919 | 100 |
| 3 1 0 | 33.17 | 2.701 | 46 |
| 0 0 2 | 39.85 | 2.262 | 19 |
| 3 1 2 | 52.79 | 1.734 | 24 |
| 5 1 1 | 58.79 | 1.571 | 13 |

=====

The following is a theoretical powder X-ray diffraction pattern of PrMg3Ni8. It was derived from a GGA-PBE-relaxed structure, using Cu Ka.
Kinematic intensities with the Lorentz-polarization factor, no thermal factor.

Lattice parameters (Å, degrees): 4.9223 4.9223 24.0924 90.00 90.00 120.00
Space group R3m (No. 160, hexagonal axes)
Asymmetric unit:
Pr  0.0000  0.0000  0.0000 (multiplicity 3)
Mg  0.0000  0.0000  0.1287 (multiplicity 3)
Mg  0.0000  0.0000  0.4989 (multiplicity 3)
Mg  0.0000  0.0000  0.6190 (multiplicity 3)
Ni  0.0000  0.0000  0.3115 (multiplicity 3)
Ni  0.0000  0.0000  0.8124 (multiplicity 3)
Ni  0.0022  0.5011  0.0650 (multiplicity 9)
Ni  0.1688  0.3375  0.8930 (multiplicity 9)

Peak list (6 most intense, 10 to 90 degrees two-theta, by angle)
| (hkl) | 2θ (°) | d [Å] | I/Imax |
| --- | --- | --- | --- |
| 0 1 2 | 22.12 | 4.018 | 20 |
| 1 1 0 | 36.52 | 2.460 | 21 |
| 1 0 10 | 43.11 | 2.098 | 100 |
| 0 2 4 | 45.13 | 2.009 | 46 |
| 3 0 6 | 70.29 | 1.339 | 28 |
| 2 2 0 | 77.61 | 1.230 | 24 |